Diffraction record for LiDy2P3Rh12. The powder X-ray diffraction pattern is computed, not measured: it uses a DFT-relaxed cell (GGA-PBE, Alexandria) and Cu Kα, 1.54184 Å.
Kinematic intensities with the Lorentz-polarization factor, no thermal factor.

Top 6 peaks for 5° ≤ 2θ ≤ 70°, low angle first:
Position (°2θ), I/Imax
13.53, 217
36.61, 572
36.91, 185
41.12, 1000
42.44, 229
56.22, 168

```
LiDy2P3Rh12
1.0
4.391 2.535 4.285
-4.391 2.535 4.285
0.000 -5.070 4.285
Li Dy P Rh
1 2 3 12
Direct
0.000 0.000 0.000 Li
0.373 0.373 0.373 Dy
0.627 0.627 0.627 Dy
0.000 0.000 0.500 P
0.000 0.500 0.000 P
0.500 0.000 0.000 P
0.093 0.631 0.631 Rh
0.173 0.173 0.674 Rh
0.173 0.674 0.173 Rh
0.326 0.827 0.827 Rh
0.369 0.369 0.907 Rh
0.369 0.907 0.369 Rh
0.631 0.093 0.631 Rh
0.631 0.631 0.093 Rh
0.674 0.173 0.173 Rh
0.827 0.326 0.827 Rh
0.827 0.827 0.326 Rh
0.907 0.369 0.369 Rh
```